Starting from a crystal structure in the Materials Project, relaxed with GGA+U, the powder diffractogram of LiMn7O3F9 was calculated for Cu Kα.
Peak positions follow from Bragg's law for the DFT cell and can differ from measured ones.

Most intense lines, 10° ≤ 2θ ≤ 90°, in order of falling intensity:
- d 2.883, rel. 100, hkl 0 1 -2
- d 3.694, rel. 95, hkl 1 1 -1
- d 2.866, rel. 84, hkl 1 2 0
- d 1.713, rel. 81, hkl 3 -1 2
- d 2.850, rel. 77, hkl 2 0 -1
- d 3.712, rel. 51, hkl 1 1 1
- d 2.030, rel. 43, hkl 1 3 0
- d 2.014, rel. 41, hkl 3 0 -1
- d 2.877, rel. 39, hkl 0 2 1
- d 2.037, rel. 32, hkl 0 1 -3

```
LiMn7O3F9
1.0
6.3712 0.0000 0.0000
0.0070 6.4192 0.0000
0.0440 0.0188 6.4523
Li Mn O F
1 7 3 9
direct
0.0000 0.0000 0.0000 Li
0.0578 0.2741 0.4378 Mn
0.2365 0.5450 0.9030 Mn
0.4482 0.9343 0.2461 Mn
0.4791 0.5339 0.5167 Mn
0.5531 0.0709 0.7366 Mn
0.7326 0.4349 0.0328 Mn
0.9231 0.7678 0.5501 Mn
0.1519 0.5487 0.5865 O
0.5206 0.3852 0.8046 O
0.6053 0.8369 0.5213 O
0.0605 0.3164 0.0786 F
0.0860 0.9494 0.3074 F
0.3096 0.9160 0.9275 F
0.3916 0.2097 0.4199 F
0.4376 0.6038 0.1728 F
0.6932 0.0752 0.0652 F
0.7798 0.4443 0.3622 F
0.9157 0.6992 0.9308 F
0.9316 0.0880 0.6909 F
```